# Sm2Y3Tl2
Computed powder diffractogram, copper Kα. Input: a DFT-relaxed cell (GGA-PBE, Alexandria).
Peak positions follow from Bragg's law for the DFT cell and can differ from measured ones.

Structure:
```
data_Sm2Y3Tl2
_symmetry_space_group_name_H-M 'P 1'
_symmetry_Int_Tables_number 1
_cell_length_a 5.458
_cell_length_b 5.458
_cell_length_c 8.743
_cell_angle_alpha 108.27
_cell_angle_beta 108.27
_cell_angle_gamma 60.07
loop_
_symmetry_equiv_pos_as_xyz
'x,y,z'
loop_
_atom_site_label
_atom_site_type_symbol
_atom_site_fract_x
_atom_site_fract_y
_atom_site_fract_z
Sm1 Sm 0.076 0.076 0.229
Sm2 Sm 0.924 0.924 0.771
Y1 Y 0.347 0.347 0.040
Y2 Y 0.500 0.500 0.500
Y3 Y 0.653 0.653 0.960
Tl1 Tl 0.218 0.218 0.653
Tl2 Tl 0.782 0.782 0.347
```

Main lines, in order of rising 2θ (10 to 80 degrees two-theta):
Position (°2θ)  I (rel.)
19.12  8.6
20.13  9.3
31.85  100.0
32.80  98.4
46.37  35.3
56.15  16.6
57.96  36.4
58.56  18.7
66.57  9.9
68.77  11.5
76.17  9.0
77.73  10.5



# MgNp2Ga6
Computed powder diffractogram, copper Kα. Input: a DFT-relaxed cell (GGA-PBE, Alexandria).
Peak positions follow from Bragg's law for the DFT cell and can differ from measured ones.

Structure:
```
data_MgNp2Ga6
_symmetry_space_group_name_H-M 'P 1'
_symmetry_Int_Tables_number 1
_cell_length_a 8.244
_cell_length_b 8.244
_cell_length_c 2.877
_cell_angle_alpha 90.00
_cell_angle_beta 90.00
_cell_angle_gamma 120.00
loop_
_symmetry_equiv_pos_as_xyz
'x,y,z'
loop_
_atom_site_label
_atom_site_type_symbol
_atom_site_fract_x
_atom_site_fract_y
_atom_site_fract_z
Mg1 Mg 0.000 0.000 0.000
Np1 Np 0.333 0.667 0.000
Np2 Np 0.667 0.333 0.000
Ga1 Ga 0.000 0.325 0.500
Ga2 Ga 0.000 0.675 0.500
Ga3 Ga 0.325 0.000 0.500
Ga4 Ga 0.325 0.325 0.500
Ga5 Ga 0.675 0.000 0.500
Ga6 Ga 0.675 0.675 0.500
```

Main lines, in order of rising 2θ (10 to 80 degrees two-theta):
Position (°2θ)  I (rel.)
12.40  51.1
21.56  29.3
24.94  15.7
33.20  13.1
33.58  13.4
37.80  87.5
38.14  100.0
46.12  9.3
54.79  35.1
68.26  15.1
68.49  35.8
77.54  21.4



# CaHoPdAu
Computed powder diffractogram, copper Kα. Input: a DFT-relaxed cell (GGA-PBE, Alexandria).
Peak positions follow from Bragg's law for the DFT cell and can differ from measured ones.

Structure:
```
data_CaHoPdAu
_symmetry_space_group_name_H-M 'P 1'
_symmetry_Int_Tables_number 1
_cell_length_a 4.515
_cell_length_b 5.793
_cell_length_c 5.793
_cell_angle_alpha 38.61
_cell_angle_beta 90.00
_cell_angle_gamma 90.00
loop_
_symmetry_equiv_pos_as_xyz
'x,y,z'
loop_
_atom_site_label
_atom_site_type_symbol
_atom_site_fract_x
_atom_site_fract_y
_atom_site_fract_z
Ca1 Ca 0.000 0.000 0.000
Ho1 Ho 0.500 0.722 0.722
Pd1 Pd 0.000 0.270 0.270
Au1 Au 0.500 0.440 0.440
```

Main lines, in order of rising 2θ (10 to 80 degrees two-theta):
Position (°2θ)  I (rel.)
16.21  20.5
19.66  33.0
24.63  31.1
31.71  94.7
32.76  30.9
33.95  22.5
38.50  37.1
39.54  100.0
39.93  34.5
47.47  32.4
62.70  17.9
72.24  23.8



# Pu2Ga12Ni
Computed powder diffractogram, copper Kα. Input: a DFT-relaxed cell (GGA-PBE, Alexandria).
Peak positions follow from Bragg's law for the DFT cell and can differ from measured ones.

Structure:
```
data_Pu2Ga12Ni
_symmetry_space_group_name_H-M 'P 1'
_symmetry_Int_Tables_number 1
_cell_length_a 6.012
_cell_length_b 6.012
_cell_length_c 15.497
_cell_angle_alpha 90.00
_cell_angle_beta 90.00
_cell_angle_gamma 90.00
loop_
_symmetry_equiv_pos_as_xyz
'x,y,z'
loop_
_atom_site_label
_atom_site_type_symbol
_atom_site_fract_x
_atom_site_fract_y
_atom_site_fract_z
Pu1 Pu 0.250 0.750 0.240
Pu2 Pu 0.250 0.750 0.760
Pu3 Pu 0.750 0.250 0.240
Pu4 Pu 0.750 0.250 0.760
Ga1 Ga 0.000 0.000 0.085
Ga2 Ga 0.000 0.000 0.915
Ga3 Ga 0.000 0.500 0.085
Ga4 Ga 0.000 0.500 0.915
Ga5 Ga 0.078 0.578 0.429
Ga6 Ga 0.078 0.922 0.571
Ga7 Ga 0.250 0.250 0.185
Ga8 Ga 0.250 0.250 0.341
Ga9 Ga 0.250 0.250 0.659
Ga10 Ga 0.250 0.250 0.815
Ga11 Ga 0.422 0.578 0.571
Ga12 Ga 0.422 0.922 0.429
Ga13 Ga 0.500 0.000 0.085
Ga14 Ga 0.500 0.000 0.915
Ga15 Ga 0.500 0.500 0.085
Ga16 Ga 0.500 0.500 0.915
Ga17 Ga 0.578 0.078 0.571
Ga18 Ga 0.578 0.422 0.429
Ga19 Ga 0.750 0.750 0.185
Ga20 Ga 0.750 0.750 0.341
Ga21 Ga 0.750 0.750 0.659
Ga22 Ga 0.750 0.750 0.815
Ga23 Ga 0.922 0.078 0.429
Ga24 Ga 0.922 0.422 0.571
Ni1 Ni 0.250 0.750 0.000
Ni2 Ni 0.750 0.250 0.000
```

Main lines, in order of rising 2θ (10 to 80 degrees two-theta):
Position (°2θ)  I (rel.)
11.42  20.7
20.90  19.8
31.24  61.4
31.93  100.0
37.88  35.8
40.88  37.3
41.87  15.5
42.53  52.0
53.71  31.2
60.44  17.9
69.25  19.5
76.68  14.9



# NaPH3NO3
Computed powder diffractogram, copper Kα. Input: a DFT-relaxed cell (GGA-PBE, Alexandria).
Peak positions follow from Bragg's law for the DFT cell and can differ from measured ones.

Structure:
```
data_NaPH3NO3
_symmetry_space_group_name_H-M 'P 1'
_symmetry_Int_Tables_number 1
_cell_length_a 5.801
_cell_length_b 5.801
_cell_length_c 6.171
_cell_angle_alpha 90.00
_cell_angle_beta 90.00
_cell_angle_gamma 120.00
loop_
_symmetry_equiv_pos_as_xyz
'x,y,z'
loop_
_atom_site_label
_atom_site_type_symbol
_atom_site_fract_x
_atom_site_fract_y
_atom_site_fract_z
Na1 Na 0.000 0.000 0.000
Na2 Na 0.000 0.000 0.500
P1 P 0.333 0.667 0.311
P2 P 0.667 0.333 0.811
H1 H 0.153 0.510 0.663
H2 H 0.357 0.847 0.663
H3 H 0.490 0.643 0.663
H4 H 0.510 0.357 0.163
H5 H 0.643 0.153 0.163
H6 H 0.847 0.490 0.163
N1 N 0.333 0.667 0.602
N2 N 0.667 0.333 0.102
O1 O 0.140 0.764 0.254
O2 O 0.236 0.376 0.254
O3 O 0.376 0.140 0.754
O4 O 0.624 0.860 0.254
O5 O 0.764 0.624 0.754
O6 O 0.860 0.236 0.754
```

Main lines, in order of rising 2θ (10 to 80 degrees two-theta):
Position (°2θ)  I (rel.)
22.83  100.0
28.94  12.5
30.83  39.6
34.12  31.6
38.70  9.1
46.63  21.3
47.78  16.8
50.27  9.1
54.82  8.1
56.95  6.3
64.22  10.2
69.11  7.0



# Sr8CuN2
Computed powder diffractogram, copper Kα. Input: a DFT-relaxed cell (GGA-PBE, Alexandria).
Peak positions follow from Bragg's law for the DFT cell and can differ from measured ones.

Structure:
```
data_Sr8CuN2
_symmetry_space_group_name_H-M 'P 1'
_symmetry_Int_Tables_number 1
_cell_length_a 8.697
_cell_length_b 8.697
_cell_length_c 7.098
_cell_angle_alpha 92.42
_cell_angle_beta 92.42
_cell_angle_gamma 61.85
loop_
_symmetry_equiv_pos_as_xyz
'x,y,z'
loop_
_atom_site_label
_atom_site_type_symbol
_atom_site_fract_x
_atom_site_fract_y
_atom_site_fract_z
Sr1 Sr 0.117 0.682 0.751
Sr2 Sr 0.164 0.164 0.801
Sr3 Sr 0.318 0.883 0.249
Sr4 Sr 0.325 0.325 0.254
Sr5 Sr 0.675 0.675 0.746
Sr6 Sr 0.682 0.117 0.751
Sr7 Sr 0.836 0.836 0.199
Sr8 Sr 0.883 0.318 0.249
Cu1 Cu 0.000 0.000 0.500
N1 N 0.175 0.175 0.137
N2 N 0.825 0.825 0.863
```

Main lines, in order of rising 2θ (10 to 80 degrees two-theta):
Position (°2θ)  I (rel.)
11.54  32.4
23.21  15.5
23.88  19.3
25.12  43.0
26.15  100.0
26.72  45.6
27.59  32.9
34.03  24.0
34.91  16.6
40.36  15.8
41.59  29.3
48.16  18.7



Question: Number 1 is which compound?
Answer: Sm2Y3Tl2